(1)
This entry pairs a crystal structure of AgSF with its calculated powder diffraction line list. Radiation: λ = 1.5418 Å (Cu Kα). Structure: a cell relaxed with PBE.

Main lines, sorted by position (10 to 90 degrees two-theta):
2theta	d [Å]	Rel. int.	(hkl)
22.44	3.963	54	1 0 -1
25.98	3.429	48	1 0 1
29.32	3.046	36	0 1 1
31.03	2.882	36	0 0 2
31.23	2.864	100	1 1 0
46.63	1.948	46	2 1 -1

Structure:
Lattice parameters (Å, degrees): 4.8049 3.5885 5.8270 90.00 98.41 90.00
Space group P2/m (No. 10)
Asymmetric unit:
Ag  0.0000  0.0000  0.0000
Ag  0.5000  0.5000  0.5000
S  0.1692  0.0000  0.6196
F  0.2855  0.5000  0.1329


(2)
This entry pairs a crystal structure of AgSF6 with its calculated powder diffraction line list. Radiation: λ = 1.5418 Å (Cu Kα). Structure: a cell relaxed with PBE.

Main lines, sorted by position (10 to 90 degrees two-theta):
2theta	d [Å]	Rel. int.	(hkl)
21.06	4.218	100	1 1 1
34.73	2.583	32	2 2 0
40.97	2.203	48	3 1 1
42.88	2.109	38	2 2 2
49.93	1.826	30	4 0 0
54.77	1.676	19	3 3 1

Structure:
Lattice parameters (Å, degrees): 7.3060 7.3060 7.3060 90.00 90.00 90.00
Space group F-43m (No. 216)
Asymmetric unit:
Ag  0.0000  0.0000  0.0000
S  0.2500  0.2500  0.2500
F  0.0132  0.2500  0.2500


(3)
This entry pairs a crystal structure of Sr2Ag2SeSF2 with its calculated powder diffraction line list. Radiation: λ = 1.5418 Å (Cu Kα). Structure: a cell relaxed with PBE.

Main lines, sorted by position (10 to 90 degrees two-theta):
2theta	d [Å]	Rel. int.	(hkl)
29.17	3.061	63	1 0 2
32.23	2.778	53	1 1 1
36.56	2.458	100	1 1 2
43.92	2.062	52	2 0 0
50.77	1.798	30	1 1 4
53.63	1.709	35	2 0 3

Structure:
Lattice parameters (Å, degrees): 4.1231 4.1231 9.1387 90.00 90.00 90.00
Space group P4mm (No. 99)
Asymmetric unit:
Sr  0.0000  0.0000  0.0000
Sr  0.5000  0.5000  0.3065
Ag  0.0000  0.5000  0.6404
Se  0.5000  0.5000  0.8432
S  0.0000  0.0000  0.4533
F  0.0000  0.5000  0.1528


(4)
This entry pairs a crystal structure of AgSbF6 with its calculated powder diffraction line list. Radiation: λ = 1.5418 Å (Cu Kα). Structure: a cell relaxed with PBE.

Main lines, sorted by position (10 to 90 degrees two-theta):
2theta	d [Å]	Rel. int.	(hkl)
26.70	3.339	100	2 2 0
38.12	2.361	11	4 0 0
47.15	1.928	48	4 2 2
55.00	1.669	16	4 4 0
62.17	1.493	21	6 0 2
75.31	1.262	20	6 2 4

Structure:
Lattice parameters (Å, degrees): 9.4437 9.4437 9.4437 90.00 90.00 90.00
Space group Ia-3 (No. 206)
Asymmetric unit:
Ag  0.0000  0.0000  0.0000
Sb  0.2500  0.2500  0.2500
F  0.0941  0.1352  0.3098


(5)
This entry pairs a crystal structure of ScAgF3 with its calculated powder diffraction line list. Radiation: λ = 1.5418 Å (Cu Kα). Structure: a cell relaxed with PBE.

Main lines, sorted by position (10 to 90 degrees two-theta):
2theta	d [Å]	Rel. int.	(hkl)
21.58	4.118	26	0 1 2
30.62	2.920	100	1 1 0
30.80	2.903	99	1 0 4
37.77	2.382	48	2 0 2
43.98	2.059	86	0 2 4
54.54	1.683	37	2 1 4

Structure:
Lattice parameters (Å, degrees): 5.8401 5.8401 14.1831 90.00 90.00 120.00
Space group R-3c (No. 167, hexagonal axes)
Asymmetric unit:
Sc  0.0000  0.0000  0.0000
Ag  0.0000  0.0000  0.2500
F  0.0000  0.4946  0.2500